For Zn2W3O8, the PBE+U geometry in Alexandria gives the computed powder diffraction line list in this record (copper Kα).
Peak positions follow from Bragg's law for the DFT cell and can differ from measured ones.

Top 10 peaks for 2θ = 10–80°, in order of rising 2θ:
| 2θ (°) | intensity | index |
| --- | --- | --- |
| 18.7 | 69 | 0 0 2 |
| 24.8 | 18 | 1 0 2 |
| 32.5 | 18 | 2 0 0 |
| 32.7 | 24 | 1 0 3 |
| 33.9 | 100 | 2 0 1 |
| 43.6 | 25 | 2 0 3 |
| 52.7 | 15 | 2 1 3 |
| 58.0 | 22 | 2 2 0 |
| 59.2 | 26 | 2 0 5 |
| 61.6 | 14 | 2 2 2 |

Crystal structure
abc: 6.3560 6.3560 9.4755
angles: 90.00 90.00 120.00
Fractional coordinates of all 26 atoms:
Zn (0.3333, 0.6667, 0.0000)
Zn (0.3333, 0.6667, 0.3747)
Zn (0.6667, 0.3333, 0.5000)
Zn (0.6667, 0.3333, 0.8747)
W (0.1643, 0.3287, 0.7025)
W (0.1643, 0.8357, 0.7025)
W (0.3287, 0.1643, 0.2025)
W (0.6713, 0.8357, 0.7025)
W (0.8357, 0.1643, 0.2025)
W (0.8357, 0.6713, 0.2025)
O (0.0000, 0.0000, 0.3137)
O (0.0000, 0.0000, 0.8137)
O (0.0339, 0.5169, 0.8254)
O (0.1653, 0.3306, 0.1023)
O (0.1653, 0.8347, 0.1023)
O (0.3306, 0.1653, 0.6023)
O (0.3333, 0.6667, 0.5855)
O (0.4831, 0.5169, 0.8254)
O (0.4831, 0.9661, 0.8254)
O (0.5169, 0.0339, 0.3254)
O (0.5169, 0.4831, 0.3254)
O (0.6667, 0.3333, 0.0855)
O (0.6694, 0.8347, 0.1023)
O (0.8347, 0.1653, 0.6023)
O (0.8347, 0.6694, 0.6023)
O (0.9661, 0.4831, 0.3254)